Simulated powder diffraction line list
Compound: NdIn2Pd
Radiation: copper Kα
Structure: a PBE-relaxed structure

Structure:
```
data_NdIn2Pd
_space_group_name_H-M_alt 'I 4 m m'
_space_group_IT_number 107
_space_group_name_Hall 'I 4 -2'
_cell_length_a 14.181
_cell_length_b 14.181
_cell_length_c 9.341
_cell_angle_alpha 90.00
_cell_angle_beta 90.00
_cell_angle_gamma 90.00
loop_
_atom_site_label
_atom_site_type_symbol
_atom_site_fract_x
_atom_site_fract_y
_atom_site_fract_z
Nd1 Nd 0.000 0.000 0.000
Nd2 Nd 0.000 0.000 0.468
Nd3 Nd 0.000 0.281 0.393
Nd4 Nd 0.202 0.202 0.881
In1 In 0.000 0.163 0.725
In2 In 0.000 0.382 0.869
In3 In 0.133 0.133 0.228
In4 In 0.141 0.351 0.130
Pd1 Pd 0.000 0.216 0.034
Pd2 Pd 0.000 0.500 0.121
Pd3 Pd 0.160 0.160 0.541
```

Largest 12 diffraction maxima, most intense first, 15 to 90 degrees two-theta:
Position (°2θ)	I (rel.)	index
33.0	100	3 3 2
31.7	33	4 0 2
36.8	32	3 2 3
38.1	28	6 0 0
34.5	21	3 0 3
39.6	18	1 1 4
39.0	18	4 1 3
34.2	16	4 2 2
35.8	15	4 4 0
63.9	14	7 3 4
60.9	11	7 1 4
60.4	10	7 4 3

***

Simulated powder diffraction line list
Compound: NdInPd
Radiation: copper Kα
Structure: a PBE-relaxed structure

Structure:
```
data_NdInPd
_space_group_name_H-M_alt 'P 1'
_space_group_IT_number 1
_space_group_name_Hall 'P 1'
_cell_length_a 3.842
_cell_length_b 8.061
_cell_length_c 8.146
_cell_angle_alpha 60.37
_cell_angle_beta 88.82
_cell_angle_gamma 88.70
loop_
_atom_site_label
_atom_site_type_symbol
_atom_site_fract_x
_atom_site_fract_y
_atom_site_fract_z
Nd1 Nd 0.000 0.000 0.000
Nd2 Nd 0.002 0.282 0.438
Nd3 Nd 0.005 0.720 0.718
In1 In 0.501 0.381 0.720
In2 In 0.501 0.618 0.099
In3 In 0.503 0.999 0.338
Pd1 Pd 0.007 0.669 0.385
Pd2 Pd 0.503 0.001 0.719
Pd3 Pd 0.989 0.336 0.053
```

Largest 12 diffraction maxima, most intense first, 15 to 90 degrees two-theta:
Position (°2θ)	I (rel.)	index
38.6	100	0 3 0
32.0	81	1 1 -1
38.1	52	0 0 3
47.3	43	2 0 0
31.7	42	1 1 2
31.8	40	1 2 1
34.2	40	1 0 2
32.6	40	-1 2 1
32.4	38	-1 1 2
62.2	29	2 3 0
61.8	24	2 3 3
33.5	23	0 1 3